1.
CrFe14Si: calculated X-ray powder pattern (Cu Kα), based on a structure optimized by DFT (PBE).
Intensities are scaled so that the largest is 100.

abc: 5.7376 7.9624 7.9604
angles: 90.00 90.00 90.00
Space group Cmmm (No. 65)
Unique sites:
Cr 0.0000 0.0000 0.0000 x2
Fe 0.0000 0.0000 0.5000 x2
Fe 0.0000 0.2516 0.2486 x8
Fe 0.0000 0.5000 0.5000 x2
Fe 0.2493 0.0000 0.2481 x8
Fe 0.2500 0.2500 0.0000 x4
Fe 0.2500 0.2500 0.5000 x4
Si 0.0000 0.5000 0.0000 x2

Largest 8 diffraction maxima, sorted by position, 2θ from 10° to 90°:
2θ (°)  I_rel
11.11  1
22.12  1
45.13  100
45.58  48
65.02  8
66.43  14
82.98  14
83.95  28

=====

2.
CrFe2Si: calculated X-ray powder pattern (Cu Kα), based on a structure optimized by DFT (PBE).
Intensities are scaled so that the largest is 100.

abc: 8.4724 2.7581 3.9800
angles: 90.00 109.09 90.00
Space group Cm (No. 8)
Unique sites:
Cr 0.0000 0.0000 0.0000 x2
Fe 0.2549 0.0000 0.8238 x2
Fe 0.4934 0.0000 0.4928 x2
Si 0.2543 0.5000 0.3229 x2

Largest 8 diffraction maxima, sorted by position, 2θ from 10° to 90°:
2θ (°)  I_rel
44.33  100
45.31  50
46.13  39
47.91  82
60.89  14
67.98  13
80.39  14
85.51  14